No. 1
Zn4N2O: theoretical X-ray diffraction stick pattern (Cu Kα, 1.54184 Å), based on a DFT-relaxed cell (PBE, Alexandria).
Peak positions follow from Bragg's law for the DFT cell and can differ from measured ones.

Crystal structure
```
data_Zn4N2O
_space_group_name_H-M_alt 'P b c m'
_space_group_IT_number 57
_space_group_name_Hall '-P 2c 2b'
_cell_length_a 3.1559
_cell_length_b 10.2860
_cell_length_c 10.3638
_cell_angle_alpha 90.00
_cell_angle_beta 90.00
_cell_angle_gamma 90.00
loop_
_atom_site_label
_atom_site_type_symbol
_atom_site_fract_x
_atom_site_fract_y
_atom_site_fract_z
Zn1 Zn 0.2219 0.2500 0.0000
Zn2 Zn 0.2384 0.5125 0.1067
Zn3 Zn 0.2648 0.6976 0.7500
N1 N 0.2892 0.6228 0.5726
O1 O 0.0648 0.6226 0.2500
```

Top 10 peaks for 2θ from 10° to 80°, low angle first:
| 2θ (°) | intensity | index |
| --- | --- | --- |
| 30.87 | 22.1 | 1 1 1 |
| 34.40 | 74.6 | 1 1 2 |
| 34.89 | 34.7 | 0 4 0 |
| 38.92 | 100.0 | 0 2 4 |
| 39.66 | 49.1 | 1 1 3 |
| 39.78 | 64.2 | 1 3 1 |
| 42.67 | 36.5 | 1 3 2 |
| 59.99 | 36.5 | 1 5 3 |
| 72.51 | 27.8 | 2 2 4 |
| 76.28 | 19.5 | 1 3 7 |

=====

No. 2
NaYF4: theoretical X-ray diffraction stick pattern (Cu Kα, 1.54184 Å), based on a DFT-relaxed cell (PBE, Alexandria).
Peak positions follow from Bragg's law for the DFT cell and can differ from measured ones.

Crystal structure
```
data_NaYF4
_space_group_name_H-M_alt 'I 41/a'
_space_group_IT_number 88
_cell_length_a 5.4964
_cell_length_b 5.4964
_cell_length_c 10.8264
_cell_angle_alpha 90.00
_cell_angle_beta 90.00
_cell_angle_gamma 90.00
loop_
_space_group_symop_operation_xyz
'x,y,z'
'-x,-y,-z'
'-y+3/4,x+1/4,z+1/4'
'y+3/4,-x+1/4,-z+1/4'
'-x+1/2,-y,z+1/2'
'x+1/2,y,-z+1/2'
'y+3/4,-x+3/4,z+3/4'
'-y+3/4,x+3/4,-z+3/4'
'x+1/2,y+1/2,z+1/2'
'-x+1/2,-y+1/2,-z+1/2'
'-y+1/4,x+3/4,z+3/4'
'y+1/4,-x+3/4,-z+3/4'
'-x,-y+1/2,z'
'x,y+1/2,-z'
'y+1/4,-x+1/4,z+1/4'
'-y+1/4,x+1/4,-z+1/4'
loop_
_atom_site_label
_atom_site_type_symbol
_atom_site_fract_x
_atom_site_fract_y
_atom_site_fract_z
Na1 Na 0.0000 0.2500 0.1250
Y1 Y 0.0000 0.2500 0.6250
F1 F 0.2307 0.0003 0.4997
```

Top 10 peaks for 2θ from 10° to 80°, low angle first:
| 2θ (°) | intensity | index |
| --- | --- | --- |
| 18.10 | 61.2 | 1 0 1 |
| 28.27 | 100.0 | 1 1 2 |
| 29.61 | 11.6 | 1 0 3 |
| 37.52 | 12.2 | 1 2 1 |
| 44.60 | 11.1 | 2 1 3 |
| 46.75 | 31.7 | 2 2 0 |
| 47.13 | 62.5 | 2 0 4 |
| 55.53 | 28.2 | 3 1 2 |
| 56.20 | 13.6 | 1 1 6 |
| 76.04 | 12.1 | 3 1 6 |

=====

No. 3
Rb2Ce3S6: theoretical X-ray diffraction stick pattern (Cu Kα, 1.54184 Å), based on a DFT-relaxed cell (PBE, Alexandria).
Peak positions follow from Bragg's law for the DFT cell and can differ from measured ones.

Crystal structure
```
data_Rb2Ce3S6
_space_group_name_H-M_alt 'C 1 2/m 1'
_space_group_IT_number 12
_space_group_name_Hall '-C 2y'
_cell_length_a 7.2498
_cell_length_b 12.5537
_cell_length_c 8.1494
_cell_angle_alpha 90.00
_cell_angle_beta 107.21
_cell_angle_gamma 90.00
loop_
_atom_site_label
_atom_site_type_symbol
_atom_site_fract_x
_atom_site_fract_y
_atom_site_fract_z
Rb1 Rb 0.0000 0.1669 0.0000
Ce1 Ce 0.0000 0.0000 0.5000
Ce2 Ce 0.0000 0.3342 0.5000
S1 S 0.2270 0.1684 0.6863
S2 S 0.2322 0.5000 0.6869
```

Top 10 peaks for 2θ from 10° to 80°, low angle first:
| 2θ (°) | intensity | index |
| --- | --- | --- |
| 11.37 | 54.4 | 0 0 1 |
| 22.85 | 20.2 | 0 0 2 |
| 25.74 | 35.0 | 2 0 0 |
| 29.00 | 100.0 | 1 3 1 |
| 36.61 | 14.7 | 1 3 2 |
| 39.64 | 34.8 | 2 0 2 |
| 43.23 | 34.6 | 0 6 0 |
| 49.45 | 16.6 | 3 3 1 |
| 52.90 | 17.6 | 4 0 0 |
| 70.63 | 14.6 | 5 3 -3 |

=====

No. 4
TbDyMgPt: theoretical X-ray diffraction stick pattern (Cu Kα, 1.54184 Å), based on a DFT-relaxed cell (PBE, Alexandria).
Peak positions follow from Bragg's law for the DFT cell and can differ from measured ones.

Crystal structure
```
data_TbDyMgPt
_space_group_name_H-M_alt 'F -4 3 m'
_space_group_IT_number 216
_space_group_name_Hall 'F -4 2 3'
_cell_length_a 7.2051
_cell_length_b 7.2051
_cell_length_c 7.2051
_cell_angle_alpha 90.00
_cell_angle_beta 90.00
_cell_angle_gamma 90.00
loop_
_atom_site_label
_atom_site_type_symbol
_atom_site_fract_x
_atom_site_fract_y
_atom_site_fract_z
Tb1 Tb 0.0000 0.0000 0.0000
Dy1 Dy 0.0000 0.0000 0.5000
Mg1 Mg 0.2500 0.2500 0.7500
Pt1 Pt 0.2500 0.2500 0.2500
```

Top 10 peaks for 2θ from 10° to 80°, low angle first:
| 2θ (°) | intensity | index |
| --- | --- | --- |
| 21.36 | 22.1 | 1 1 1 |
| 24.71 | 4.4 | 2 0 0 |
| 35.23 | 100.0 | 2 2 0 |
| 41.57 | 12.3 | 3 1 1 |
| 50.68 | 17.9 | 4 0 0 |
| 55.60 | 5.4 | 3 3 1 |
| 63.23 | 36.9 | 4 2 2 |
| 67.55 | 4.0 | 5 1 1 |
| 74.50 | 11.4 | 4 4 0 |
| 78.54 | 4.0 | 5 3 1 |

=====

No. 5
Li5Sn2Hg5: theoretical X-ray diffraction stick pattern (Cu Kα, 1.54184 Å), based on a DFT-relaxed cell (PBE, Alexandria).
Peak positions follow from Bragg's law for the DFT cell and can differ from measured ones.

Crystal structure
```
data_Li5Sn2Hg5
_space_group_name_H-M_alt 'C 1 2/m 1'
_space_group_IT_number 12
_space_group_name_Hall '-C 2y'
_cell_length_a 8.1379
_cell_length_b 4.7029
_cell_length_c 13.3668
_cell_angle_alpha 90.00
_cell_angle_beta 101.80
_cell_angle_gamma 90.00
loop_
_atom_site_label
_atom_site_type_symbol
_atom_site_fract_x
_atom_site_fract_y
_atom_site_fract_z
Li1 Li 0.0000 0.0000 0.0000
Li2 Li 0.1231 0.5000 0.8698
Li3 Li 0.1452 0.0000 0.4380
Sn1 Sn 0.0747 0.0000 0.2229
Hg1 Hg 0.0000 0.5000 0.5000
Hg2 Hg 0.1962 0.5000 0.0891
Hg3 Hg 0.2179 0.0000 0.6578
```

Top 10 peaks for 2θ from 10° to 80°, low angle first:
| 2θ (°) | intensity | index |
| --- | --- | --- |
| 22.30 | 27.1 | 1 1 -1 |
| 23.66 | 50.3 | 2 0 -2 |
| 24.63 | 34.5 | 1 1 -2 |
| 27.07 | 44.5 | 1 1 2 |
| 31.67 | 52.6 | 1 1 3 |
| 33.39 | 38.0 | 1 1 -4 |
| 37.07 | 30.7 | 2 0 -5 |
| 38.30 | 100.0 | 0 2 0 |
| 38.99 | 25.9 | 1 1 -5 |
| 63.62 | 19.6 | 3 1 6 |

=====

No. 6
Ca4Cd3Pb2: theoretical X-ray diffraction stick pattern (Cu Kα, 1.54184 Å), based on a DFT-relaxed cell (PBE, Alexandria).
Peak positions follow from Bragg's law for the DFT cell and can differ from measured ones.

Crystal structure
```
data_Ca4Cd3Pb2
_space_group_name_H-M_alt 'P -3 m 1'
_space_group_IT_number 164
_space_group_name_Hall '-P 3 2"'
_cell_length_a 5.2472
_cell_length_b 5.2472
_cell_length_c 11.0853
_cell_angle_alpha 90.00
_cell_angle_beta 90.00
_cell_angle_gamma 120.00
loop_
_atom_site_label
_atom_site_type_symbol
_atom_site_fract_x
_atom_site_fract_y
_atom_site_fract_z
Ca1 Ca 0.0000 0.0000 0.1696
Ca2 Ca 0.3333 0.6667 0.3907
Cd1 Cd 0.0000 0.0000 0.5000
Cd2 Cd 0.3333 0.6667 0.9916
Pb1 Pb 0.3333 0.6667 0.6994
```

Top 10 peaks for 2θ from 10° to 80°, low angle first:
| 2θ (°) | intensity | index |
| --- | --- | --- |
| 21.13 | 74.3 | 0 1 1 |
| 24.08 | 15.0 | 0 0 3 |
| 31.20 | 91.8 | 1 0 3 |
| 34.18 | 100.0 | 1 1 0 |
| 38.03 | 30.0 | 0 1 4 |
| 40.53 | 14.8 | 2 0 1 |
| 42.25 | 21.3 | 1 1 3 |
| 46.94 | 29.0 | 0 2 3 |
| 59.33 | 28.2 | 2 1 3 |
| 61.19 | 17.9 | 3 0 0 |

=====

No. 7
Cs3TeI6: theoretical X-ray diffraction stick pattern (Cu Kα, 1.54184 Å), based on a DFT-relaxed cell (PBE, Alexandria).
Peak positions follow from Bragg's law for the DFT cell and can differ from measured ones.

Crystal structure
```
data_Cs3TeI6
_space_group_name_H-M_alt 'R -3'
_space_group_IT_number 148
_space_group_name_Hall '-R 3'
_cell_length_a 14.8041
_cell_length_b 14.8041
_cell_length_c 18.9753
_cell_angle_alpha 90.00
_cell_angle_beta 90.00
_cell_angle_gamma 120.00
loop_
_atom_site_label
_atom_site_type_symbol
_atom_site_fract_x
_atom_site_fract_y
_atom_site_fract_z
Cs1 Cs 0.0204 0.6328 0.2582
Te1 Te 0.0000 0.0000 0.0000
Te2 Te 0.0000 0.0000 0.5000
I1 I 0.0226 0.8215 0.4057
I2 I 0.0370 0.1794 0.9093
```

Top 10 peaks for 2θ from 10° to 80°, low angle first:
| 2θ (°) | intensity | index |
| --- | --- | --- |
| 11.60 | 76.0 | 0 1 2 |
| 25.49 | 49.6 | 4 -3 1 |
| 26.29 | 33.5 | 3 -1 4 |
| 26.77 | 22.5 | 4 -1 2 |
| 27.93 | 100.0 | 4 -2 3 |
| 28.22 | 28.4 | 0 0 6 |
| 37.40 | 23.6 | 2 2 6 |
| 41.91 | 15.8 | 4 -3 7 |
| 49.77 | 15.7 | 4 -2 9 |
| 53.64 | 15.7 | 8 -5 4 |

=====

No. 8
TcPb2Se: theoretical X-ray diffraction stick pattern (Cu Kα, 1.54184 Å), based on a DFT-relaxed cell (PBE, Alexandria).
Peak positions follow from Bragg's law for the DFT cell and can differ from measured ones.

Crystal structure
```
data_TcPb2Se
_space_group_name_H-M_alt 'P 4 m m'
_space_group_IT_number 99
_space_group_name_Hall 'P 4 -2'
_cell_length_a 3.2207
_cell_length_b 3.2207
_cell_length_c 9.0440
_cell_angle_alpha 90.00
_cell_angle_beta 90.00
_cell_angle_gamma 90.00
loop_
_atom_site_label
_atom_site_type_symbol
_atom_site_fract_x
_atom_site_fract_y
_atom_site_fract_z
Tc1 Tc 0.0000 0.0000 0.0000
Pb1 Pb 0.0000 0.0000 0.5720
Pb2 Pb 0.5000 0.5000 0.2375
Se1 Se 0.5000 0.5000 0.8697
```

Top 10 peaks for 2θ from 10° to 80°, low angle first:
| 2θ (°) | intensity | index |
| --- | --- | --- |
| 29.44 | 49.5 | 1 0 1 |
| 29.63 | 31.8 | 0 0 3 |
| 34.18 | 100.0 | 1 0 2 |
| 39.57 | 50.3 | 1 1 0 |
| 50.21 | 30.3 | 1 1 3 |
| 57.20 | 17.3 | 2 0 0 |
| 58.53 | 19.5 | 1 0 5 |
| 65.64 | 11.0 | 2 1 1 |
| 65.74 | 13.7 | 2 0 3 |
| 68.35 | 27.4 | 2 1 2 |

=====

No. 9
Nd5Dy2HoTh: theoretical X-ray diffraction stick pattern (Cu Kα, 1.54184 Å), based on a DFT-relaxed cell (PBE, Alexandria).
Peak positions follow from Bragg's law for the DFT cell and can differ from measured ones.

Crystal structure
```
data_Nd5Dy2HoTh
_space_group_name_H-M_alt 'C m c m'
_space_group_IT_number 63
_space_group_name_Hall '-C 2c 2'
_cell_length_a 5.4202
_cell_length_b 21.7507
_cell_length_c 10.5973
_cell_angle_alpha 90.00
_cell_angle_beta 90.00
_cell_angle_gamma 90.00
loop_
_atom_site_label
_atom_site_type_symbol
_atom_site_fract_x
_atom_site_fract_y
_atom_site_fract_z
Nd1 Nd 0.0000 0.0000 0.0000
Nd2 Nd 0.0000 0.1257 0.2500
Nd3 Nd 0.0000 0.2219 0.5569
Nd4 Nd 0.0000 0.4980 0.7500
Dy1 Dy 0.0000 0.3870 0.0037
Ho1 Ho 0.0000 0.1019 0.7500
Th1 Th 0.0000 0.2872 0.2500
```

Top 10 peaks for 2θ from 10° to 80°, low angle first:
| 2θ (°) | intensity | index |
| --- | --- | --- |
| 26.54 | 13.7 | 1 3 2 |
| 30.48 | 15.0 | 1 1 3 |
| 31.31 | 100.0 | 1 5 2 |
| 32.68 | 13.1 | 1 3 3 |
| 33.05 | 29.8 | 2 0 0 |
| 33.83 | 19.1 | 0 0 4 |
| 48.00 | 19.4 | 2 0 4 |
| 57.95 | 17.6 | 3 5 2 |
| 58.96 | 9.7 | 1 5 6 |
| 60.49 | 10.1 | 1 13 2 |

=====

No. 10
Ba5Mg4Tl4: theoretical X-ray diffraction stick pattern (Cu Kα, 1.54184 Å), based on a DFT-relaxed cell (PBE, Alexandria).
Peak positions follow from Bragg's law for the DFT cell and can differ from measured ones.

Crystal structure
```
data_Ba5Mg4Tl4
_space_group_name_H-M_alt 'I 4/m'
_space_group_IT_number 87
_space_group_name_Hall '-I 4'
_cell_length_a 13.5184
_cell_length_b 13.5184
_cell_length_c 5.1006
_cell_angle_alpha 90.00
_cell_angle_beta 90.00
_cell_angle_gamma 90.00
loop_
_atom_site_label
_atom_site_type_symbol
_atom_site_fract_x
_atom_site_fract_y
_atom_site_fract_z
Ba1 Ba 0.0000 0.0000 0.0000
Ba2 Ba 0.1396 0.2082 0.5000
Mg1 Mg 0.0646 0.6010 0.5000
Tl1 Tl 0.0462 0.7327 0.0000
```

Top 10 peaks for 2θ from 10° to 80°, low angle first:
| 2θ (°) | intensity | index |
| --- | --- | --- |
| 18.58 | 33.5 | 2 2 0 |
| 22.81 | 40.4 | 1 2 1 |
| 26.39 | 100.0 | 3 0 1 |
| 29.56 | 74.3 | 2 4 0 |
| 32.46 | 45.3 | 4 1 1 |
| 33.81 | 22.7 | 5 1 0 |
| 35.19 | 31.1 | 0 0 2 |
| 37.66 | 27.4 | 3 4 1 |
| 56.13 | 33.2 | 2 8 0 |
| 57.92 | 29.2 | 8 1 1 |